(1)
# MgMn12O17F7
Simulated powder diffractogram, a wavelength of 1.5418 Å. Input: the GGA+U geometry in the Materials Project.
Kinematic intensities with the Lorentz-polarization factor, no thermal factor.

Main lines, low angle first (15° ≤ 2θ ≤ 90°):
- 24.27 deg, rel. 100.0, hkl 1 -1 0
- 29.37 deg, rel. 74.7, hkl 1 1 3
- 29.77 deg, rel. 83.0, hkl 1 -1 3
- 30.74 deg, rel. 54.6, hkl -1 1 3
- 30.98 deg, rel. 59.8, hkl 1 1 -3
- 35.92 deg, rel. 43.2, hkl 0 0 6

Structure:
a = 4.7879 Å, b = 5.7172 Å, c = 15.0321 Å
α = 89.04°, β = 86.72°, γ = 89.73°
Space group P1 (No. 1)
Inequivalent atoms, fractional coordinates:
Mg: 0.0000 0.0000 0.0000 [1 per cell]
Mn: 0.0057 0.2907 0.4842 [1 per cell]
Mn: 0.0142 0.5752 0.3223 [1 per cell]
Mn: 0.0299 0.3044 0.1626 [1 per cell]
Mn: 0.4675 0.7567 0.8292 [1 per cell]
Mn: 0.4700 0.0967 0.6557 [1 per cell]
Mn: 0.4696 0.7548 0.4941 [1 per cell]
Mn: 0.4740 0.7621 0.1643 [1 per cell]
Mn: 0.4779 0.2724 0.9982 [1 per cell]
Mn: 0.4846 0.1018 0.3310 [1 per cell]
Mn: 0.9648 0.2472 0.8123 [1 per cell]
Mn: 0.9809 0.5249 0.9841 [1 per cell]
Mn: 0.9866 0.5629 0.6458 [1 per cell]
O: 0.1674 0.2752 0.9256 [1 per cell]
O: 0.1857 0.7561 0.9296 [1 per cell]
O: 0.2092 0.3257 0.5915 [1 per cell]
O: 0.2235 0.5294 0.4271 [1 per cell]
O: 0.2375 0.5215 0.0843 [1 per cell]
O: 0.2465 0.3491 0.2606 [1 per cell]
O: 0.2640 0.8051 0.6029 [1 per cell]
O: 0.2695 0.0424 0.7671 [1 per cell]
O: 0.2712 0.8315 0.2777 [1 per cell]
O: 0.2718 0.0484 0.4416 [1 per cell]
O: 0.2794 0.0657 0.0932 [1 per cell]
O: 0.6990 0.4785 0.9001 [1 per cell]
O: 0.7564 0.3127 0.7096 [1 per cell]
O: 0.7727 0.5407 0.5452 [1 per cell]
O: 0.7889 0.3167 0.3809 [1 per cell]
O: 0.8047 0.2792 0.0587 [1 per cell]
O: 0.8101 0.5540 0.2157 [1 per cell]
F: 0.2009 0.5402 0.7558 [1 per cell]
F: 0.7046 0.0146 0.9025 [1 per cell]
F: 0.7354 0.0547 0.5468 [1 per cell]
F: 0.7367 0.7979 0.3837 [1 per cell]
F: 0.7408 0.7965 0.7163 [1 per cell]
F: 0.7491 0.7603 0.0497 [1 per cell]
F: 0.7519 0.0674 0.2186 [1 per cell]

---

(2)
# Mg3V6Cd2Cu3PbO24
Simulated powder diffractogram, a wavelength of 1.5418 Å. Input: the GGA+U geometry in the Materials Project.
Kinematic intensities with the Lorentz-polarization factor, no thermal factor.

Main lines, low angle first (15° ≤ 2θ ≤ 90°):
- 25.57 deg, rel. 53.8, hkl -2 1 1
- 27.31 deg, rel. 100.0, hkl 2 0 0
- 31.05 deg, rel. 76.2, hkl 0 2 2
- 31.61 deg, rel. 69.1, hkl 0 1 -3
- 31.72 deg, rel. 75.9, hkl 0 3 -1
- 32.46 deg, rel. 49.3, hkl -2 2 2

Structure:
a = 7.0954 Å, b = 9.0028 Å, c = 9.0157 Å
α = 92.08°, β = 105.44°, γ = 105.92°
Space group P1 (No. 1)
Inequivalent atoms, fractional coordinates:
Mg: 0.0000 0.0000 0.0000 [1 per cell]
Mg: 0.2515 0.1121 0.7518 [1 per cell]
Mg: 0.7427 0.4296 0.4264 [1 per cell]
V: 0.2498 0.4033 0.4952 [1 per cell]
V: 0.3728 0.3386 0.0944 [1 per cell]
V: 0.4884 0.9255 0.0277 [1 per cell]
V: 0.7491 0.1791 0.7175 [1 per cell]
V: 0.8688 0.7726 0.6525 [1 per cell]
V: 0.9946 0.7096 0.2474 [1 per cell]
Cd: 0.3708 0.8014 0.6253 [1 per cell]
Cd: 0.8698 0.3195 0.1067 [1 per cell]
Cu: 0.3711 0.5418 0.8839 [1 per cell]
Cu: 0.4792 0.6683 0.3082 [1 per cell]
Cu: 0.8708 0.5698 0.8575 [1 per cell]
Pb: 0.8679 0.0373 0.3783 [1 per cell]
O: 0.0016 0.8966 0.2010 [1 per cell]
O: 0.0054 0.3859 0.3738 [1 per cell]
O: 0.0873 0.8934 0.6175 [1 per cell]
O: 0.1468 0.2249 0.1206 [1 per cell]
O: 0.2285 0.7111 0.3731 [1 per cell]
O: 0.2291 0.2208 0.5511 [1 per cell]
O: 0.2960 0.0171 0.9698 [1 per cell]
O: 0.3140 0.5357 0.6625 [1 per cell]
O: 0.3617 0.3259 0.8955 [1 per cell]
O: 0.3870 0.5419 0.1035 [1 per cell]
O: 0.4254 0.7623 0.8901 [1 per cell]
O: 0.4450 0.4642 0.4005 [1 per cell]
O: 0.5095 0.0578 0.7187 [1 per cell]
O: 0.5125 0.8676 0.2120 [1 per cell]
O: 0.5948 0.3067 0.2045 [1 per cell]
O: 0.6534 0.8093 0.5323 [1 per cell]
O: 0.7333 0.0515 0.0432 [1 per cell]
O: 0.7378 0.2289 0.5341 [1 per cell]
O: 0.8084 0.6490 0.3409 [1 per cell]
O: 0.8103 0.3480 0.8474 [1 per cell]
O: 0.8612 0.5748 0.6379 [1 per cell]
O: 0.8760 0.7894 0.8500 [1 per cell]
O: 0.9324 0.5776 0.0780 [1 per cell]
O: 0.9445 0.0906 0.7767 [1 per cell]

---

(3)
# Rb2Mo2O5
Simulated powder diffractogram, a wavelength of 1.5418 Å. Input: the GGA+U geometry in the Materials Project.
Kinematic intensities with the Lorentz-polarization factor, no thermal factor.

Main lines, low angle first (15° ≤ 2θ ≤ 90°):
- 29.53 deg, rel. 29.1, hkl 0 2 0
- 29.88 deg, rel. 32.4, hkl 0 0 2
- 30.38 deg, rel. 100.0, hkl 4 1 1
- 42.51 deg, rel. 30.3, hkl 0 2 2
- 53.36 deg, rel. 19.9, hkl 4 1 3
- 63.21 deg, rel. 15.3, hkl 8 2 2

Structure:
a = 16.2956 Å, b = 6.0506 Å, c = 5.9802 Å
α = 90.00°, β = 90.00°, γ = 90.00°
Space group Ima2 (No. 46)
Inequivalent atoms, fractional coordinates:
Rb: 0.1117 0.0170 0.0000 [8 per cell]
Mo: 0.0000 0.0000 0.4834 [4 per cell]
Mo: 0.2500 0.5653 0.0416 [4 per cell]
O: 0.0060 0.7488 0.7452 [8 per cell]
O: 0.1366 0.0256 0.4891 [8 per cell]
O: 0.2500 0.6701 0.3386 [4 per cell]

---

(4)
# MgV12Zn6O24
Simulated powder diffractogram, a wavelength of 1.5418 Å. Input: the GGA+U geometry in the Materials Project.
Kinematic intensities with the Lorentz-polarization factor, no thermal factor.

Main lines, low angle first (15° ≤ 2θ ≤ 90°):
- 33.88 deg, rel. 100.0, hkl 1 1 5
- 34.18 deg, rel. 73.7, hkl 0 2 -1
- 34.27 deg, rel. 92.7, hkl -1 1 3
- 34.44 deg, rel. 71.0, hkl 2 0 -1
- 34.70 deg, rel. 75.7, hkl 2 2 1
- 60.03 deg, rel. 64.9, hkl 2 -2 0

Structure:
a = 6.0640 Å, b = 6.0953 Å, c = 15.2045 Å
α = 89.85°, β = 89.07°, γ = 60.89°
Space group P1 (No. 1)
Inequivalent atoms, fractional coordinates:
Mg: 0.0000 0.0000 0.0000 [1 per cell]
V: 0.0193 0.0380 0.1652 [1 per cell]
V: 0.0188 0.5390 0.1535 [1 per cell]
V: 0.1697 0.7015 0.4788 [1 per cell]
V: 0.3099 0.8663 0.8055 [1 per cell]
V: 0.3221 0.3648 0.8033 [1 per cell]
V: 0.4989 0.5331 0.6421 [1 per cell]
V: 0.5158 0.0382 0.1518 [1 per cell]
V: 0.5407 0.5534 0.0192 [1 per cell]
V: 0.6678 0.7007 0.4793 [1 per cell]
V: 0.6688 0.2018 0.4789 [1 per cell]
V: 0.8220 0.3540 0.8057 [1 per cell]
V: 0.8347 0.8678 0.3173 [1 per cell]
Zn: 0.1639 0.1990 0.6015 [1 per cell]
Zn: 0.1740 0.2057 0.3583 [1 per cell]
Zn: 0.2232 0.2874 0.9788 [1 per cell]
Zn: 0.5078 0.5334 0.2761 [1 per cell]
Zn: 0.7868 0.8405 0.8638 [1 per cell]
Zn: 0.8312 0.8667 0.6779 [1 per cell]
O: 0.1456 0.7064 0.2368 [1 per cell]
O: 0.1493 0.1877 0.7339 [1 per cell]
O: 0.1898 0.6900 0.7232 [1 per cell]
O: 0.1909 0.2188 0.2246 [1 per cell]
O: 0.3303 0.8930 0.0662 [1 per cell]
O: 0.3409 0.3848 0.5546 [1 per cell]
O: 0.3537 0.8361 0.5592 [1 per cell]
O: 0.3644 0.3801 0.0745 [1 per cell]
O: 0.4356 0.0455 0.8860 [1 per cell]
O: 0.4901 0.5382 0.8897 [1 per cell]
O: 0.5064 0.5363 0.4084 [1 per cell]
O: 0.5310 0.0247 0.4020 [1 per cell]
O: 0.6522 0.2278 0.7226 [1 per cell]
O: 0.6534 0.6915 0.7345 [1 per cell]
O: 0.6807 0.1714 0.2363 [1 per cell]
O: 0.6851 0.7133 0.2272 [1 per cell]
O: 0.8044 0.3777 0.5578 [1 per cell]
O: 0.8320 0.8653 0.5489 [1 per cell]
O: 0.8511 0.8654 0.0834 [1 per cell]
O: 0.8872 0.3421 0.0632 [1 per cell]
O: 0.9723 0.0223 0.8761 [1 per cell]
O: 0.9837 0.5658 0.4004 [1 per cell]
O: 0.9938 0.4921 0.8851 [1 per cell]
O: 0.9964 0.0189 0.4038 [1 per cell]

---

(5)
# MgMn6O8F4
Simulated powder diffractogram, a wavelength of 1.5418 Å. Input: the GGA+U geometry in the Materials Project.
Kinematic intensities with the Lorentz-polarization factor, no thermal factor.

Main lines, low angle first (15° ≤ 2θ ≤ 90°):
- 23.93 deg, rel. 76.5, hkl 0 0 3
- 26.61 deg, rel. 100.0, hkl 2 0 -1
- 32.09 deg, rel. 46.5, hkl 0 0 4
- 34.29 deg, rel. 58.1, hkl 1 1 1
- 34.53 deg, rel. 44.7, hkl 1 1 -2
- 52.43 deg, rel. 48.4, hkl 3 1 -3

Structure:
a = 6.7027 Å, b = 3.0590 Å, c = 11.5732 Å
α = 90.00°, β = 105.43°, γ = 90.00°
Space group Pm (No. 6)
Inequivalent atoms, fractional coordinates:
Mg: 0.0000 0.0000 0.0000 [1 per cell]
Mn: 0.1357 0.0000 0.7777 [1 per cell]
Mn: 0.3732 0.5000 0.2125 [1 per cell]
Mn: 0.4985 0.0000 0.5003 [1 per cell]
Mn: 0.6251 0.5000 0.7881 [1 per cell]
Mn: 0.8619 0.0000 0.2217 [1 per cell]
Mn: 0.9983 0.5000 0.4997 [1 per cell]
O: 0.0751 0.5000 0.6727 [1 per cell]
O: 0.1658 0.0000 0.1767 [1 per cell]
O: 0.4443 0.5000 0.3892 [1 per cell]
O: 0.4486 0.0000 0.8074 [1 per cell]
O: 0.5494 0.0000 0.1930 [1 per cell]
O: 0.5528 0.5000 0.6114 [1 per cell]
O: 0.8326 0.0000 0.8236 [1 per cell]
O: 0.9222 0.5000 0.3266 [1 per cell]
F: 0.1612 0.5000 0.9450 [1 per cell]
F: 0.1929 0.0000 0.5009 [1 per cell]
F: 0.8036 0.0000 0.4982 [1 per cell]
F: 0.8377 0.5000 0.0551 [1 per cell]

---

(6)
# SmMn2O5
Simulated powder diffractogram, a wavelength of 1.5418 Å. Input: the GGA+U geometry in the Materials Project.
Kinematic intensities with the Lorentz-polarization factor, no thermal factor.

Main lines, low angle first (15° ≤ 2θ ≤ 90°):
- 15.24 deg, rel. 34.5, hkl 0 0 1
- 28.29 deg, rel. 73.3, hkl 1 2 1
- 30.16 deg, rel. 100.0, hkl 2 1 1
- 33.21 deg, rel. 38.6, hkl 1 3 0
- 34.67 deg, rel. 25.9, hkl 1 1 2
- 40.61 deg, rel. 31.4, hkl 2 1 2

Structure:
a = 7.5055 Å, b = 8.6738 Å, c = 5.8142 Å
α = 90.00°, β = 90.00°, γ = 90.00°
Space group Pbam (No. 55)
Inequivalent atoms, fractional coordinates:
Sm: 0.1396 0.1715 0.0000 [4 per cell]
Mn: 0.0000 0.5000 0.2555 [4 per cell]
Mn: 0.0897 0.8498 0.5000 [4 per cell]
O: 0.0000 0.0000 0.2742 [4 per cell]
O: 0.1022 0.7068 0.2445 [8 per cell]
O: 0.1516 0.4336 0.5000 [4 per cell]
O: 0.1603 0.4456 0.0000 [4 per cell]